Record 1
This entry pairs a crystal structure of K2TaAgS2 with its simulated powder XRD pattern. Radiation: Cu Ka. Structure: a structure optimized by DFT (PBE).

Crystal structure
```
24
Lattice="0.000 4.750 21.334 3.841 0.000 21.334 3.841 4.750 0.000" Properties=species:S:1:pos:R:3 pbc="T T T"
K 4.963 3.080 13.769
K 4.963 4.045 18.233
K 6.883 6.420 24.436
K 6.883 5.455 28.900
K 0.798 4.045 13.769
K 0.798 3.080 18.233
K 2.718 5.455 24.436
K 2.718 6.420 28.900
Ta 0.000 0.000 0.000
Ta 1.920 2.375 0.000
Ta 1.920 0.000 10.667
Ta 0.000 2.375 10.667
Ag 3.841 2.375 10.667
Ag 1.920 4.750 10.667
Ag 1.920 2.375 21.334
Ag 3.841 4.750 21.334
S 2.270 1.782 12.292
S 3.491 1.782 19.710
S 5.411 4.157 22.959
S 3.491 5.343 12.292
S 4.190 4.157 30.377
S 2.270 5.343 19.710
S 4.190 7.718 22.959
S 5.411 7.718 30.377
```

The 8 most intense peaks (2θ = 10–90°), in order of rising 2θ:
- d = 5.334 Å, 16.62°, rel. 52
- d = 3.556 Å, 25.04°, rel. 44
- d = 2.958 Å, 30.22°, rel. 84
- d = 2.754 Å, 32.52°, rel. 100
- d = 2.447 Å, 36.73°, rel. 84
- d = 2.318 Å, 38.85°, rel. 34
- d = 2.133 Å, 42.37°, rel. 61
- d = 1.857 Å, 49.07°, rel. 34

Record 2
This entry pairs a crystal structure of K2VAgS4 with its simulated powder XRD pattern. Radiation: Cu Ka. Structure: a structure optimized by DFT (PBE).

Crystal structure
```
16
Lattice="5.830 0.000 0.000 2.915 6.624 0.000 2.915 0.000 11.360" Properties=species:S:1:pos:R:3 pbc="T T T"
K 0.000 0.000 0.000
K 4.411 3.368 8.834
K 2.909 0.068 3.103
K 7.296 3.366 5.603
V 5.796 6.623 7.222
V 7.241 3.374 1.537
Ag 4.334 3.386 1.570
Ag 5.858 0.068 7.256
S 4.670 5.350 5.908
S 2.596 2.001 0.261
S 4.059 1.378 5.982
S 7.010 5.360 8.570
S 6.058 4.655 0.245
S 6.102 1.985 2.847
S 7.602 1.340 8.540
S 8.432 4.664 2.882
```

The 8 most intense peaks (2θ = 10–90°), in order of rising 2θ:
- d = 5.722 Å, 15.49°, rel. 100
- d = 5.680 Å, 15.60°, rel. 67
- d = 3.287 Å, 27.12°, rel. 57
- d = 3.192 Å, 27.95°, rel. 78
- d = 2.668 Å, 33.59°, rel. 32
- d = 2.415 Å, 37.23°, rel. 22
- d = 2.310 Å, 38.99°, rel. 40
- d = 2.149 Å, 42.05°, rel. 32

Record 3
This entry pairs a crystal structure of K2VAgS2 with its simulated powder XRD pattern. Radiation: Cu Ka. Structure: a structure optimized by DFT (PBE).

Crystal structure
```
24
Lattice="0.000 5.949 12.026 4.543 0.000 12.026 4.543 5.949 0.000" Properties=species:S:1:pos:R:3 pbc="T T T"
K 4.889 2.808 9.654
K 7.161 5.783 14.398
K 4.889 6.116 8.385
K 1.924 2.808 8.385
K 7.161 9.091 15.667
K 4.196 5.783 15.667
K 1.924 6.116 9.654
K 4.196 9.091 14.398
V 4.543 2.975 6.013
V 2.271 5.949 6.013
V 2.271 2.975 12.026
V 4.543 5.949 12.026
Ag 0.000 0.000 0.000
Ag 2.271 2.975 0.000
Ag 2.271 0.000 6.013
Ag 0.000 2.975 6.013
S 4.702 5.277 5.130
S 6.973 6.621 11.143
S 2.112 3.647 5.130
S 4.702 3.647 12.909
S 4.384 8.252 11.143
S 6.973 8.252 18.922
S 2.112 5.277 12.909
S 4.384 6.621 18.922
```

The 8 most intense peaks (2θ = 10–90°), in order of rising 2θ:
- d = 6.013 Å, 14.73°, rel. 81
- d = 3.458 Å, 25.76°, rel. 38
- d = 3.311 Å, 26.93°, rel. 23
- d = 2.975 Å, 30.04°, rel. 46
- d = 2.683 Å, 33.40°, rel. 100
- d = 2.506 Å, 35.83°, rel. 27
- d = 2.271 Å, 39.68°, rel. 24
- d = 1.551 Å, 59.60°, rel. 25

Record 4
This entry pairs a crystal structure of K2VAgS4 with its simulated powder XRD pattern. Radiation: Cu Ka. Structure: a structure optimized by DFT (PBE).

Crystal structure
```
16
Lattice="0.000 6.624 11.360 2.915 0.000 11.360 2.915 6.624 0.000" Properties=species:S:1:pos:R:3 pbc="T T T"
K 2.186 4.968 1.253
K 3.643 8.280 6.933
K 2.186 4.968 15.788
K 3.643 8.280 21.468
V 0.729 1.656 2.840
V 5.101 11.592 19.881
Ag 2.186 4.968 8.520
Ag 3.643 8.280 14.200
S 1.909 2.971 4.126
S 3.921 6.283 9.806
S 2.463 6.965 4.126
S 2.463 2.971 12.915
S 3.366 10.277 9.806
S 3.366 6.283 18.595
S 1.909 6.965 12.915
S 3.921 10.277 18.595
```

The 8 most intense peaks (2θ = 10–90°), in order of rising 2θ:
- d = 5.722 Å, 15.49°, rel. 100
- d = 5.680 Å, 15.60°, rel. 68
- d = 3.287 Å, 27.12°, rel. 57
- d = 3.192 Å, 27.95°, rel. 76
- d = 2.668 Å, 33.59°, rel. 31
- d = 2.415 Å, 37.23°, rel. 22
- d = 2.310 Å, 38.99°, rel. 39
- d = 2.149 Å, 42.05°, rel. 32

Record 5
This entry pairs a crystal structure of KAgSe with its simulated powder XRD pattern. Radiation: Cu Ka. Structure: a structure optimized by DFT (PBE).

Crystal structure
```
6
Lattice="4.566 0.000 0.000 0.000 4.566 0.000 0.000 0.000 7.778" Properties=species:S:1:pos:R:3 pbc="T T T"
K 1.142 1.142 1.270
K 3.425 3.425 6.508
Ag 1.142 3.425 3.889
Ag 3.425 1.142 3.889
Se 1.142 1.142 5.564
Se 3.425 3.425 2.214
```

The 8 most intense peaks (2θ = 10–90°), in order of rising 2θ:
- d = 7.778 Å, 11.38°, rel. 100
- d = 2.982 Å, 29.96°, rel. 50
- d = 2.961 Å, 30.19°, rel. 17
- d = 2.484 Å, 36.16°, rel. 90
- d = 2.283 Å, 39.47°, rel. 46
- d = 2.191 Å, 41.21°, rel. 18
- d = 2.022 Å, 44.83°, rel. 17
- d = 1.354 Å, 69.43°, rel. 25